(1)
Theoretical PXRD pattern of Nb5Ge2B for copper Kα, from a cell relaxed with PBE.
Kinematic intensities with the Lorentz-polarization factor, no thermal factor.

Peak list (12 most intense, 2θ = 10–90°, most intense first)
2θ (°)  d (Å)  I/Imax
38.04  2.365  100.0
43.62  2.075  30.5
45.40  1.998  17.4
64.78  1.439  16.4
62.85  1.479  15.4
82.81  1.166  13.5
40.78  2.213  12.6
31.07  2.878  12.5
78.94  1.213  9.6
38.82  2.320  6.2
59.79  1.547  6.0
81.37  1.183  5.7

a b c (Å): 7.5797 7.5797 7.5797
angles (deg): 128.70 128.70 75.49
Fractional positions:
Nb: 0.0000 0.0000 0.0000
Nb: 0.0093 0.5093 0.8342
Nb: 0.1750 0.0093 0.5000
Nb: 0.3250 0.8250 0.8342
Nb: 0.4907 0.3250 0.5000
Nb: 0.5000 0.5000 0.0000
Nb: 0.5093 0.6750 0.5000
Nb: 0.6750 0.1750 0.1658
Nb: 0.8250 0.9907 0.5000
Nb: 0.9907 0.4907 0.1658
Ge: 0.1332 0.3668 0.5000
Ge: 0.3668 0.8668 0.2336
Ge: 0.6332 0.1332 0.7664
Ge: 0.8668 0.6332 0.5000
B: 0.2500 0.2500 0.0000
B: 0.7500 0.7500 0.0000

(2)
Theoretical PXRD pattern of Na3Zr2Si2PO12 for copper Kα, from a cell relaxed with PBE.
Kinematic intensities with the Lorentz-polarization factor, no thermal factor.

Peak list (12 most intense, 2θ = 10–90°, most intense first)
2θ (°)  d (Å)  I/Imax
19.36  4.586  100.0
30.39  2.941  87.1
19.05  4.658  60.5
27.32  3.265  54.6
33.83  2.650  52.0
30.54  2.928  44.3
13.55  6.535  36.7
19.16  4.633  34.6
22.58  3.938  31.9
33.93  2.642  26.7
52.78  1.735  19.5
46.09  1.970  19.1

a b c (Å): 9.1618 9.1618 9.2683
angles (deg): 119.27 119.27 60.18
Fractional positions:
Na: 0.0000 0.0000 0.0000
Na: 0.1381 0.5316 0.5665
Na: 0.3832 0.1366 0.2340
Na: 0.4684 0.8619 0.4335
Na: 0.7825 0.2175 0.5000
Na: 0.8634 0.6168 0.7660
Zr: 0.0404 0.7587 0.1934
Zr: 0.2413 0.9596 0.8066
Zr: 0.5305 0.2677 0.6951
Zr: 0.7323 0.4695 0.3049
Si: 0.1328 0.1507 0.4922
Si: 0.3317 0.6683 0.0000
Si: 0.4326 0.5674 0.5000
Si: 0.8493 0.8672 0.5078
P: 0.6372 0.0772 0.0115
P: 0.9228 0.3628 0.9885
O: 0.0176 0.8821 0.6917
O: 0.0994 0.2036 0.9876
O: 0.1179 0.9824 0.3083
O: 0.1363 0.1022 0.6419
O: 0.1388 0.6887 0.9923
O: 0.2649 0.6096 0.3282
O: 0.3113 0.8612 0.0077
O: 0.3182 0.1760 0.5381
O: 0.3782 0.5035 0.8257
O: 0.3904 0.7351 0.6718
O: 0.4523 0.3807 0.5040
O: 0.4642 0.0577 0.9751
O: 0.4965 0.6218 0.1743
O: 0.6193 0.5477 0.4960
O: 0.6233 0.1315 0.8687
O: 0.6619 0.0312 0.5226
O: 0.6765 0.2244 0.1913
O: 0.7756 0.3235 0.8087
O: 0.7964 0.9006 0.0124
O: 0.8240 0.6818 0.4619
O: 0.8685 0.3767 0.1313
O: 0.8978 0.8637 0.3581
O: 0.9423 0.5358 0.0249
O: 0.9688 0.3381 0.4774